Ba2Zn12Ga7: computed XRD peak list (λ = 1.5418 Å (Cu Kα)), based on a DFT-relaxed cell (GGA-PBE, Alexandria).
Kinematic intensities with the Lorentz-polarization factor, no thermal factor.

The 10 most intense peaks (2θ from 15° to 90°), in order of falling intensity:
2theta  intensity  (hkl)
33.33  100  3 -1 1
49.01  22  2 3 1
41.78  21  3 1 1
40.39  20  0 0 2
36.35  19  3 0 1
58.58  17  0 4 2
55.51  16  0 5 1
46.74  15  4 1 0
30.10  14  3 0 0
45.49  12  0 4 1

Structural model:
Lattice parameters (Å, degrees): 10.283 10.283 4.467 90.00 90.00 120.00
Sites, in units of the cell vectors:
Ba1 0.333 0.667 0.242
Ba2 0.667 0.333 0.758
Zn1 0.099 0.392 0.708
Zn2 0.125 0.255 0.190
Zn3 0.130 0.875 0.190
Zn4 0.255 0.130 0.810
Zn5 0.293 0.901 0.708
Zn6 0.392 0.293 0.292
Zn7 0.608 0.707 0.708
Zn8 0.707 0.099 0.292
Zn9 0.745 0.870 0.190
Zn10 0.870 0.125 0.810
Zn11 0.875 0.745 0.810
Zn12 0.901 0.608 0.292
Ga1 0.000 0.000 0.500
Ga2 0.056 0.629 0.773
Ga3 0.371 0.427 0.773
Ga4 0.427 0.056 0.227
Ga5 0.573 0.944 0.773
Ga6 0.629 0.573 0.227
Ga7 0.944 0.371 0.227